Entry 1:
Diffraction record for CaNb2H. The powder XRD pattern is theoretical, not measured: it uses the GGA-PBE geometry in Alexandria and Cu Kα (λ = 1.5418 Å).

```
data_CaNb2H
_chemical_formula_sum 'Ca4 Nb8 H4'
_cell_length_a 5.0340
_cell_length_b 11.5756
_cell_length_c 5.0315
_cell_angle_alpha 90.00
_cell_angle_beta 94.20
_cell_angle_gamma 90.00
_symmetry_space_group_name_H-M 'C 1 2 1'
_symmetry_Int_Tables_number 5
loop_
_symmetry_equiv_pos_as_xyz
'x,y,z'
'-x,y,-z'
'x+1/2,y+1/2,z'
'-x+1/2,y+1/2,-z'
loop_
_atom_site_label
_atom_site_type_symbol
_atom_site_fract_x
_atom_site_fract_y
_atom_site_fract_z
Ca1 Ca 0.2493 0.0000 0.2459
Nb1 Nb 0.2302 0.3020 0.2658
Nb2 Nb 0.2463 0.2013 0.7429
H1 H 0.0000 0.1073 0.5000
H2 H 0.0000 0.7979 0.0000
```

Peak list (6 most intense, 10 to 90 degrees two-theta, sorted by position)
| 2theta | I (rel.) |
| --- | --- |
| 15.31 | 98 |
| 33.62 | 86 |
| 35.03 | 79 |
| 35.78 | 100 |
| 39.12 | 36 |
| 62.02 | 26 |

---

Entry 2:
Diffraction record for Na3DyO3. The powder XRD pattern is theoretical, not measured: it uses the GGA-PBE geometry in Alexandria and Cu Kα (λ = 1.5418 Å).

```
data_Na3DyO3
_chemical_formula_sum 'Na12 Dy4 O12'
_cell_length_a 6.7326
_cell_length_b 6.9883
_cell_length_c 9.9397
_cell_angle_alpha 90.00
_cell_angle_beta 90.00
_cell_angle_gamma 90.00
_symmetry_space_group_name_H-M 'I m m a'
_symmetry_Int_Tables_number 74
_symmetry_space_group_name_Hall '-I 2b 2'
loop_
_atom_site_label
_atom_site_type_symbol
_atom_site_fract_x
_atom_site_fract_y
_atom_site_fract_z
Na1 Na 0.0000 0.2500 0.2227
Na2 Na 0.2199 0.0000 0.0000
Dy1 Dy 0.0000 0.2500 0.7803
O1 O 0.0000 0.2500 0.9907
O2 O 0.2500 0.0310 0.7500
```

Peak list (6 most intense, 10 to 90 degrees two-theta, sorted by position)
| 2theta | I (rel.) |
| --- | --- |
| 15.50 | 100 |
| 17.85 | 36 |
| 30.83 | 31 |
| 31.29 | 28 |
| 32.12 | 24 |
| 37.08 | 46 |

---

Entry 3:
Diffraction record for Ta2VSi6. The powder XRD pattern is theoretical, not measured: it uses the GGA-PBE geometry in Alexandria and Cu Kα (λ = 1.5418 Å).

```
data_Ta2VSi6
_chemical_formula_sum 'Ta4 V2 Si12'
_cell_length_a 4.7079
_cell_length_b 8.2549
_cell_length_c 6.5324
_cell_angle_alpha 90.00
_cell_angle_beta 90.00
_cell_angle_gamma 90.00
_symmetry_space_group_name_H-M 'C 2 2 2'
_symmetry_Int_Tables_number 21
loop_
_symmetry_equiv_pos_as_xyz
'x,y,z'
'-x,-y,z'
'x,-y,-z'
'-x,y,-z'
'x+1/2,y+1/2,z'
'-x+1/2,-y+1/2,z'
'x+1/2,-y+1/2,-z'
'-x+1/2,y+1/2,-z'
loop_
_atom_site_label
_atom_site_type_symbol
_atom_site_fract_x
_atom_site_fract_y
_atom_site_fract_z
Ta1 Ta 0.2500 0.2500 0.1639
V1 V 0.0000 0.0000 0.5000
Si1 Si 0.0000 0.3411 0.5000
Si2 Si 0.2444 0.4225 0.8263
```

Peak list (6 most intense, 10 to 90 degrees two-theta, sorted by position)
| 2theta | I (rel.) |
| --- | --- |
| 21.53 | 39 |
| 25.70 | 100 |
| 35.16 | 50 |
| 40.40 | 81 |
| 41.47 | 35 |
| 47.32 | 52 |

---

Question: Number 2 is which compound?
Answer: Na3DyO3